# 1
The following is a calculated powder diffraction line list of DyErCoGe2. It was derived from a GGA-PBE-relaxed structure, using Cu Ka.

Principal peaks in the range 10 to 90 degrees two-theta, by intensity:
| two_theta | d_spacing | Rel. int. |
| --- | --- | --- |
| 34.3 | 2.612 | 100.0 |
| 33.7 | 2.661 | 80.9 |
| 33.8 | 2.653 | 71.4 |
| 41.4 | 2.183 | 64.5 |
| 43.3 | 2.090 | 60.3 |
| 37.4 | 2.402 | 51.1 |

Structure:
Unit cell a=5.605 b=5.605 c=10.164 alpha=115.64 beta=115.64 gamma=43.80
Element x y z (fractional)
Dy1 0.005 0.005 0.332
Dy2 0.995 0.995 0.668
Er1 0.187 0.187 0.114
Er2 0.813 0.813 0.886
Co1 0.276 0.276 0.653
Co2 0.724 0.724 0.347
Ge1 0.343 0.343 0.437
Ge2 0.484 0.484 0.122
Ge3 0.516 0.516 0.878
Ge4 0.657 0.657 0.563

=====

# 2
The following is a calculated powder diffraction line list of Sm2Nb2O5. It was derived from a GGA-PBE-relaxed structure, using Cu Ka.

Principal peaks in the range 10 to 90 degrees two-theta, by intensity:
| two_theta | d_spacing | Rel. int. |
| --- | --- | --- |
| 33.7 | 2.661 | 100.0 |
| 31.0 | 2.880 | 63.8 |
| 56.9 | 1.617 | 44.2 |
| 44.5 | 2.037 | 39.3 |
| 40.5 | 2.228 | 17.2 |
| 64.7 | 1.440 | 12.1 |

Structure:
Unit cell a=4.073 b=4.073 c=7.029 alpha=90.00 beta=90.00 gamma=90.00
Element x y z (fractional)
Sm1 0.000 0.000 0.000
Sm2 0.000 0.000 0.500
Nb1 0.500 0.500 0.196
Nb2 0.500 0.500 0.804
O1 0.000 0.500 0.247
O2 0.000 0.500 0.753
O3 0.500 0.000 0.247
O4 0.500 0.000 0.753
O5 0.500 0.500 0.500

=====

# 3
The following is a calculated powder diffraction line list of Tb3Zn4. It was derived from a GGA-PBE-relaxed structure, using Cu Ka.

Principal peaks in the range 10 to 90 degrees two-theta, by intensity:
| two_theta | d_spacing | Rel. int. |
| --- | --- | --- |
| 36.8 | 2.444 | 100.0 |
| 31.0 | 2.887 | 41.9 |
| 28.1 | 3.180 | 23.6 |
| 39.3 | 2.295 | 23.2 |
| 50.8 | 1.797 | 21.1 |
| 55.1 | 1.667 | 15.5 |

Structure:
Unit cell a=8.820 b=8.820 c=4.590 alpha=90.00 beta=90.00 gamma=120.00
Element x y z (fractional)
Tb1 0.100 0.440 0.250
Tb2 0.341 0.900 0.250
Tb3 0.440 0.341 0.750
Tb4 0.560 0.659 0.250
Tb5 0.659 0.100 0.750
Tb6 0.900 0.560 0.750
Zn1 0.036 0.204 0.750
Zn2 0.167 0.964 0.750
Zn3 0.204 0.167 0.250
Zn4 0.333 0.667 0.750
Zn5 0.667 0.333 0.250
Zn6 0.796 0.833 0.750
Zn7 0.833 0.036 0.250
Zn8 0.964 0.796 0.250

=====

# 4
The following is a calculated powder diffraction line list of ZrSnSe3S. It was derived from a GGA-PBE-relaxed structure, using Cu Ka.

Principal peaks in the range 10 to 90 degrees two-theta, by intensity:
| two_theta | d_spacing | Rel. int. |
| --- | --- | --- |
| 13.2 | 6.695 | 100.0 |
| 33.8 | 2.651 | 60.9 |
| 30.2 | 2.956 | 49.5 |
| 43.6 | 2.078 | 34.6 |
| 47.5 | 1.914 | 28.3 |
| 33.3 | 2.694 | 20.8 |

Structure:
Unit cell a=3.773 b=6.756 c=13.390 alpha=90.00 beta=90.00 gamma=90.00
Element x y z (fractional)
Zr1 0.000 0.032 0.000
Zr2 0.500 0.968 0.500
Sn1 0.000 0.453 0.532
Sn2 0.500 0.547 0.032
Se1 0.000 0.116 0.636
Se2 0.000 0.348 0.137
Se3 0.000 0.677 0.901
Se4 0.500 0.323 0.401
Se5 0.500 0.652 0.637
Se6 0.500 0.884 0.136
S1 0.000 0.812 0.406
S2 0.500 0.188 0.906

=====

# 5
The following is a calculated powder diffraction line list of ZnPPdO. It was derived from a GGA-PBE-relaxed structure, using Cu Ka.

Principal peaks in the range 10 to 90 degrees two-theta, by intensity:
| two_theta | d_spacing | Rel. int. |
| --- | --- | --- |
| 36.0 | 2.497 | 100.0 |
| 34.2 | 2.623 | 44.8 |
| 25.4 | 3.508 | 38.8 |
| 52.0 | 1.760 | 36.5 |
| 21.1 | 4.202 | 23.8 |
| 42.5 | 2.126 | 20.8 |

Structure:
Unit cell a=3.105 b=7.016 c=5.247 alpha=90.00 beta=90.00 gamma=90.00
Element x y z (fractional)
Zn1 0.000 0.201 0.000
Zn2 0.000 0.799 0.500
P1 0.000 0.454 0.415
P2 0.000 0.546 0.915
Pd1 0.500 0.216 0.425
Pd2 0.500 0.784 0.925
O1 0.500 0.086 0.841
O2 0.500 0.914 0.341

=====

# 6
The following is a calculated powder diffraction line list of Cu2SiGe. It was derived from a GGA-PBE-relaxed structure, using Cu Ka.

Principal peaks in the range 10 to 90 degrees two-theta, by intensity:
| two_theta | d_spacing | Rel. int. |
| --- | --- | --- |
| 41.5 | 2.174 | 100.0 |
| 75.8 | 1.255 | 28.2 |
| 60.2 | 1.537 | 15.0 |
| 32.6 | 2.750 | 9.8 |
| 62.3 | 1.491 | 4.3 |
| 44.2 | 2.050 | 3.5 |

Structure:
Unit cell a=6.149 b=6.149 c=6.149 alpha=90.00 beta=90.00 gamma=90.00
Element x y z (fractional)
Cu1 0.234 0.234 0.234
Cu2 0.234 0.234 0.766
Cu3 0.234 0.766 0.234
Cu4 0.234 0.766 0.766
Cu5 0.766 0.234 0.234
Cu6 0.766 0.234 0.766
Cu7 0.766 0.766 0.234
Cu8 0.766 0.766 0.766
Si1 0.000 0.000 0.000
Si2 0.000 0.000 0.500
Si3 0.000 0.500 0.000
Si4 0.500 0.000 0.000
Ge1 0.000 0.500 0.500
Ge2 0.500 0.000 0.500
Ge3 0.500 0.500 0.000
Ge4 0.500 0.500 0.500

=====

# 7
The following is a calculated powder diffraction line list of Y2Co2Cu. It was derived from a GGA-PBE-relaxed structure, using Cu Ka.

Principal peaks in the range 10 to 90 degrees two-theta, by intensity:
| two_theta | d_spacing | Rel. int. |
| --- | --- | --- |
| 37.1 | 2.425 | 100.0 |
| 32.0 | 2.801 | 77.2 |
| 42.8 | 2.111 | 74.4 |
| 49.2 | 1.852 | 59.8 |
| 44.7 | 2.029 | 58.3 |
| 67.3 | 1.392 | 36.6 |

Structure:
Unit cell a=6.935 b=6.935 c=6.935 alpha=149.02 beta=149.02 gamma=44.38
Element x y z (fractional)
Y1 0.111 0.111 0.000
Y2 0.889 0.889 0.000
Co1 0.250 0.750 0.500
Co2 0.750 0.250 0.500
Cu1 0.500 0.500 0.000

=====

# 8
The following is a calculated powder diffraction line list of Ag7Bi. It was derived from a GGA-PBE-relaxed structure, using Cu Ka.

Principal peaks in the range 10 to 90 degrees two-theta, by intensity:
| two_theta | d_spacing | Rel. int. |
| --- | --- | --- |
| 37.6 | 2.395 | 100.0 |
| 37.4 | 2.408 | 95.1 |
| 42.5 | 2.129 | 66.0 |
| 64.1 | 1.454 | 37.3 |
| 45.6 | 1.989 | 28.4 |
| 74.6 | 1.273 | 23.7 |

Structure:
Unit cell a=2.999 b=3.978 c=30.242 alpha=90.00 beta=90.00 gamma=90.00
Element x y z (fractional)
Ag1 0.250 0.250 0.024
Ag2 0.250 0.250 0.122
Ag3 0.250 0.250 0.220
Ag4 0.250 0.250 0.319
Ag5 0.250 0.250 0.730
Ag6 0.250 0.250 0.829
Ag7 0.250 0.250 0.927
Ag8 0.750 0.750 0.073
Ag9 0.750 0.750 0.171
Ag10 0.750 0.750 0.270
Ag11 0.750 0.750 0.681
Ag12 0.750 0.750 0.780
Ag13 0.750 0.750 0.878
Ag14 0.750 0.750 0.976
Bi1 0.250 0.250 0.621
Bi2 0.750 0.750 0.379

=====

# 9
The following is a calculated powder diffraction line list of AlCdGaTe2S2. It was derived from a GGA-PBE-relaxed structure, using Cu Ka.

Principal peaks in the range 10 to 90 degrees two-theta, by intensity:
| two_theta | d_spacing | Rel. int. |
| --- | --- | --- |
| 26.3 | 3.383 | 100.0 |
| 26.1 | 3.411 | 89.4 |
| 27.2 | 3.281 | 76.0 |
| 16.9 | 5.253 | 68.8 |
| 26.7 | 3.342 | 62.1 |
| 45.3 | 2.002 | 58.3 |

Structure:
Unit cell a=5.898 b=5.998 c=6.829 alpha=113.90 beta=114.37 gamma=90.45
Element x y z (fractional)
Al1 0.000 0.000 0.000
Cd1 0.506 0.449 0.010
Ga1 0.782 0.215 0.503
Te1 0.367 0.868 0.288
Te2 0.619 0.606 0.716
S1 0.105 0.088 0.749
S2 0.899 0.318 0.257

=====

# 10
The following is a calculated powder diffraction line list of CsHfHg3Te4. It was derived from a GGA-PBE-relaxed structure, using Cu Ka.

Principal peaks in the range 10 to 90 degrees two-theta, by intensity:
| two_theta | d_spacing | Rel. int. |
| --- | --- | --- |
| 12.6 | 7.013 | 100.0 |
| 27.4 | 3.261 | 93.3 |
| 25.0 | 3.568 | 57.0 |
| 27.0 | 3.298 | 55.2 |
| 25.3 | 3.522 | 50.0 |
| 30.6 | 2.917 | 48.2 |

Structure:
Unit cell a=6.628 b=8.672 c=11.986 alpha=90.00 beta=95.84 gamma=90.00
Element x y z (fractional)
Cs1 0.246 0.250 0.125
Cs2 0.754 0.750 0.875
Hf1 0.478 0.250 0.750
Hf2 0.522 0.750 0.250
Hg1 0.014 0.750 0.236
Hg2 0.206 0.086 0.461
Hg3 0.206 0.414 0.461
Hg4 0.794 0.586 0.539
Hg5 0.794 0.914 0.539
Hg6 0.986 0.250 0.764
Te1 0.248 0.512 0.748
Te2 0.248 0.988 0.748
Te3 0.265 0.750 0.056
Te4 0.301 0.750 0.439
Te5 0.699 0.250 0.561
Te6 0.735 0.250 0.944
Te7 0.752 0.012 0.252
Te8 0.752 0.488 0.252

=====

# 11
The following is a calculated powder diffraction line list of NdSc4Ir3. It was derived from a GGA-PBE-relaxed structure, using Cu Ka.

Principal peaks in the range 10 to 90 degrees two-theta, by intensity:
| two_theta | d_spacing | Rel. int. |
| --- | --- | --- |
| 26.1 | 3.410 | 100.0 |
| 47.4 | 1.919 | 49.7 |
| 27.2 | 3.284 | 33.6 |
| 45.5 | 1.995 | 24.0 |
| 38.8 | 2.322 | 22.5 |
| 53.8 | 1.705 | 15.0 |

Structure:
Unit cell a=6.841 b=6.841 c=6.841 alpha=122.62 beta=122.62 gamma=85.52
Element x y z (fractional)
Nd1 0.000 0.000 0.000
Sc1 0.134 0.134 0.644
Sc2 0.491 0.491 0.356
Sc3 0.509 0.866 0.000
Sc4 0.866 0.509 0.000
Ir1 0.250 0.750 0.500
Ir2 0.500 0.500 0.000
Ir3 0.750 0.250 0.500

=====

# 12
The following is a calculated powder diffraction line list of Dy2Er2CBr3Cl2. It was derived from a GGA-PBE-relaxed structure, using Cu Ka.

Principal peaks in the range 10 to 90 degrees two-theta, by intensity:
| two_theta | d_spacing | Rel. int. |
| --- | --- | --- |
| 32.6 | 2.748 | 100.0 |
| 32.3 | 2.770 | 83.7 |
| 11.3 | 7.842 | 51.9 |
| 10.6 | 8.309 | 40.3 |
| 36.1 | 2.487 | 32.4 |
| 46.7 | 1.947 | 28.3 |

Structure:
Unit cell a=8.741 b=8.741 c=8.058 alpha=102.96 beta=102.96 gamma=24.83
Element x y z (fractional)
Dy1 0.144 0.144 0.074
Dy2 0.856 0.856 0.926
Er1 0.498 0.498 0.199
Er2 0.502 0.502 0.801
C1 0.000 0.000 0.000
Br1 0.000 0.000 0.500
Br2 0.332 0.332 0.656
Br3 0.668 0.668 0.344
Cl1 0.330 0.330 0.159
Cl2 0.670 0.670 0.841

=====

# 13
The following is a calculated powder diffraction line list of PaHgO3. It was derived from a GGA-PBE-relaxed structure, using Cu Ka.

Principal peaks in the range 10 to 90 degrees two-theta, by intensity:
| two_theta | d_spacing | Rel. int. |
| --- | --- | --- |
| 24.6 | 3.618 | 100.0 |
| 26.4 | 3.378 | 77.9 |
| 32.1 | 2.789 | 55.0 |
| 29.6 | 3.020 | 53.2 |
| 20.9 | 4.253 | 43.2 |
| 43.0 | 2.105 | 41.6 |

Structure:
Unit cell a=4.262 b=4.325 c=10.347 alpha=78.69 beta=87.00 gamma=88.82
Element x y z (fractional)
Pa1 0.029 0.320 0.352
Pa2 0.971 0.680 0.648
Hg1 0.298 0.219 0.956
Hg2 0.702 0.781 0.044
O1 0.017 0.788 0.417
O2 0.046 0.464 0.143
O3 0.471 0.683 0.654
O4 0.529 0.317 0.346
O5 0.954 0.536 0.857
O6 0.983 0.212 0.583